This entry pairs a crystal structure of Li2Fe3F8 with its simulated X-ray powder pattern. Radiation: a wavelength of 1.5418 Å. Structure: a crystal structure in the Materials Project, relaxed with GGA+U.
Neutral-atom scattering factors, no anomalous dispersion.

Peak list (6 most intense, 2θ = 10–90°, low angle first)
2θ/deg  d [Å]  I/Imax  (hkl)
19.2  4.619  100  1 1 1
31.4  2.851  32  1 3 1
33.5  2.674  37  1 2 -3
37.9  2.376  34  0 2 4
42.9  2.109  28  0 3 4
56.5  1.629  25  2 5 -2

Structural model:
abc: 6.0529 10.2518 10.7268
angles: 90.00 92.44 90.00
Space group P2_1/c (No. 14)
Unique sites:
Li: 0.1209 0.0529 0.2908 [4 per cell]
Li: 0.3626 0.6429 0.3858 [4 per cell]
Fe: 0.1105 0.1373 0.9629 [4 per cell]
Fe: 0.3537 0.1428 0.7134 [4 per cell]
Fe: 0.3689 0.6285 0.0577 [4 per cell]
F: 0.1015 0.0119 0.1163 [4 per cell]
F: 0.1271 0.2398 0.3059 [4 per cell]
F: 0.1512 0.0070 0.6338 [4 per cell]
F: 0.1519 0.7398 0.4747 [4 per cell]
F: 0.3630 0.0371 0.8796 [4 per cell]
F: 0.3896 0.2478 0.5426 [4 per cell]
F: 0.3899 0.5219 0.8860 [4 per cell]
F: 0.4152 0.7207 0.2241 [4 per cell]